No. 1
Computed powder diffraction line list of MnPO4 for Cu Kα (λ = 1.5418 Å), from a cell relaxed with GGA+U.
Lines closer than 0.1° are merged.

Principal peaks in the range 2θ from 15° to 90°, sorted by position:
2θ (°)	intensity
19.03	65.5
23.64	90.1
27.37	45.7
30.52	100.0
31.89	51.2
33.55	59.0
37.77	24.9
41.45	34.8

Cell: 7.520 13.046 9.329 Å, 90.00 90.02 90.00°
Space group Cc (No. 9)
Asymmetric unit:
Mn  0.000  0.026  0.000 (multiplicity 4)
Mn  0.091  0.277  0.000 (multiplicity 4)
Mn  0.170  0.303  0.500 (multiplicity 4)
P  0.420  0.333  0.190 (multiplicity 4)
P  0.420  0.333  0.798 (multiplicity 4)
P  0.421  0.000  0.446 (multiplicity 4)
O  0.009  0.268  0.346 (multiplicity 4)
O  0.027  0.072  0.345 (multiplicity 4)
O  0.092  0.446  0.504 (multiplicity 4)
O  0.108  0.196  0.637 (multiplicity 4)
O  0.225  0.339  0.846 (multiplicity 4)
O  0.254  0.058  0.004 (multiplicity 4)
O  0.283  0.254  0.137 (multiplicity 4)
O  0.370  0.442  0.138 (multiplicity 4)
O  0.417  0.112  0.504 (multiplicity 4)
O  0.420  0.000  0.283 (multiplicity 4)
O  0.420  0.333  0.360 (multiplicity 4)
O  0.420  0.333  0.625 (multiplicity 4)



No. 2
Computed powder diffraction line list of Mn2P5O16 for Cu Kα (λ = 1.5418 Å), from a cell relaxed with GGA+U.
Lines closer than 0.1° are merged.

Principal peaks in the range 2θ from 15° to 90°, sorted by position:
2θ (°)	intensity
16.18	29.2
18.60	62.9
22.72	100.0
24.14	31.0
28.06	27.2
32.46	18.7
32.57	36.7
33.59	16.4

Cell: 4.985 6.692 19.077 Å, 90.00 90.10 90.00°
Space group P2/c (No. 13)
Asymmetric unit:
Mn  0.247  0.177  0.094 (multiplicity 4)
P  0.242  0.457  0.369 (multiplicity 4)
P  0.259  0.126  0.924 (multiplicity 4)
P  0.500  0.256  0.250 (multiplicity 2)
O  0.052  0.418  0.116 (multiplicity 4)
O  0.072  0.023  0.387 (multiplicity 4)
O  0.157  0.213  0.992 (multiplicity 4)
O  0.281  0.309  0.868 (multiplicity 4)
O  0.297  0.409  0.288 (multiplicity 4)
O  0.350  0.138  0.196 (multiplicity 4)
O  0.442  0.354  0.417 (multiplicity 4)
O  0.449  0.052  0.572 (multiplicity 4)



No. 3
Computed powder diffraction line list of MnPO4 for Cu Kα (λ = 1.5418 Å), from a cell relaxed with GGA+U.
Lines closer than 0.1° are merged.

Principal peaks in the range 2θ from 15° to 90°, sorted by position:
2θ (°)	intensity
21.13	85.4
24.63	41.4
25.06	100.0
34.07	74.5
34.39	62.8
36.43	65.6
51.43	39.7
63.85	28.3

Cell: 8.614 6.650 4.816 Å, 90.00 90.00 90.00°
Space group Pnma (No. 62)
Asymmetric unit:
Mn  0.000  0.000  0.000 (multiplicity 4)
P  0.178  0.250  0.461 (multiplicity 4)
O  0.124  0.056  0.314 (multiplicity 8)
O  0.124  0.250  0.765 (multiplicity 4)
O  0.138  0.750  0.932 (multiplicity 4)



No. 4
Computed powder diffraction line list of Mn2P3O10 for Cu Kα (λ = 1.5418 Å), from a cell relaxed with GGA+U.
Lines closer than 0.1° are merged.

Principal peaks in the range 2θ from 15° to 90°, sorted by position:
2θ (°)	intensity
19.76	25.3
25.08	65.3
28.02	100.0
31.53	34.1
32.46	18.0
32.72	43.9
36.42	28.6
43.40	19.0

Cell: 4.745 8.694 9.113 Å, 90.00 99.55 90.00°
Space group P2_1/m (No. 11)
Asymmetric unit:
Mn  0.043  0.062  0.325 (multiplicity 4)
P  0.337  0.250  0.819 (multiplicity 2)
P  0.395  0.750  0.457 (multiplicity 2)
P  0.473  0.250  0.145 (multiplicity 2)
O  0.172  0.102  0.799 (multiplicity 4)
O  0.212  0.750  0.762 (multiplicity 2)
O  0.229  0.602  0.482 (multiplicity 4)
O  0.301  0.250  0.450 (multiplicity 2)
O  0.321  0.102  0.171 (multiplicity 4)
O  0.418  0.750  0.284 (multiplicity 2)
O  0.459  0.750  0.023 (multiplicity 2)